LiCoSnO4: simulated X-ray diffraction stick pattern (a wavelength of 1.5418 Å), based on a PBE+U-relaxed structure.
Lines closer than 0.1° are merged.

Top 12 peaks for 2θ from 10° to 90°, in order of falling intensity:
d_spacing  I/Imax
4.933  100
2.649  49
2.163  44
5.104  35
1.539  30
2.191  23
2.624  20
2.552  18
2.467  16
2.013  15
1.650  13
1.940  12

Structure:
Cell: 6.1605 6.1605 10.7836 Å, 106.34 106.34 57.95°
Sites, in units of the cell vectors:
Li1 0.0563 0.5659 0.6887
Li2 0.4341 0.9437 0.8113
Li3 0.5659 0.0563 0.1887
Li4 0.9437 0.4341 0.3113
Co1 0.0000 0.0000 0.0000
Co2 0.0000 0.0000 0.5000
Co3 0.5000 0.5000 0.0000
Co4 0.5000 0.5000 0.5000
Sn1 0.0000 0.5000 0.0000
Sn2 0.2561 0.7439 0.2500
Sn3 0.5000 0.0000 0.5000
Sn4 0.7439 0.2561 0.7500
O1 0.0989 0.1384 0.8778
O2 0.1208 0.6497 0.8965
O3 0.1384 0.0989 0.3778
O4 0.1617 0.6309 0.3849
O5 0.3503 0.8792 0.6035
O6 0.3654 0.3913 0.1179
O7 0.3691 0.8383 0.1151
O8 0.3913 0.3654 0.6179
O9 0.6087 0.6346 0.3821
O10 0.6309 0.1617 0.8849
O11 0.6346 0.6087 0.8821
O12 0.6497 0.1208 0.3965
O13 0.8383 0.3691 0.6151
O14 0.8616 0.9011 0.6222
O15 0.8792 0.3503 0.1035
O16 0.9011 0.8616 0.1222